Starting from a structure optimized by DFT (GGA-PBE), the XRD peak list of Rb3Ce3NdS8 was simulated for copper Kα.

a = 9.142 Å, b = 9.142 Å, c = 9.142 Å
α = 54.58°, β = 54.58°, γ = 54.58°
Atoms (fractional coordinates):
Rb 0.000 0.500 0.500
Rb 0.500 0.000 0.500
Rb 0.500 0.500 0.000
Ce 0.000 0.000 0.500
Ce 0.000 0.500 0.000
Ce 0.500 0.000 0.000
Nd 0.500 0.500 0.500
S 0.226 0.731 0.731
S 0.231 0.231 0.231
S 0.269 0.269 0.774
S 0.269 0.774 0.269
S 0.731 0.226 0.731
S 0.731 0.731 0.226
S 0.769 0.769 0.769
S 0.774 0.269 0.269

The 10 most intense peaks (15° ≤ 2θ ≤ 90°), in order of rising 2θ:
two_theta, I (rel.)
22.93, 20
25.71, 37
28.99, 100
39.71, 35
43.16, 34
46.35, 13
49.43, 16
52.84, 18
65.59, 12
70.52, 15